1.
# Pm3CoPb2
Simulated powder XRD pattern, Cu Kα (weighted mean of Kα1 and Kα2). Input: a crystal structure in Alexandria, relaxed with GGA-PBE.
Intensities are scaled so that the largest is 100.

The 10 most intense peaks (2θ = 10–90°), by angle:
| 2θ/deg | I (rel.) |
| --- | --- |
| 28.4 | 46 |
| 29.0 | 37 |
| 29.6 | 78 |
| 30.1 | 54 |
| 30.5 | 100 |
| 30.9 | 43 |
| 32.0 | 71 |
| 33.7 | 73 |
| 35.2 | 99 |
| 51.9 | 47 |

Cell and atoms:
Cell lengths 12.744, 6.356, 8.814 Å; angles 90.00, 108.61, 90.00 degrees
Space group C2/c (No. 15)
Inequivalent atoms, fractional coordinates:
Pm: 0.000 0.184 0.250
Pm: 0.158 0.377 0.636
Co: 0.000 0.369 0.750
Pb: 0.141 0.138 0.001

---

2.
# Rb2PaF8
Simulated powder XRD pattern, Cu Kα (weighted mean of Kα1 and Kα2). Input: a crystal structure in Alexandria, relaxed with GGA-PBE.
Intensities are scaled so that the largest is 100.

The 10 most intense peaks (2θ = 10–90°), by angle:
| 2θ/deg | I (rel.) |
| --- | --- |
| 11.7 | 37 |
| 15.7 | 54 |
| 22.9 | 100 |
| 25.8 | 67 |
| 27.7 | 56 |
| 29.3 | 21 |
| 40.7 | 75 |
| 43.3 | 20 |
| 44.5 | 37 |
| 49.5 | 26 |

Cell and atoms:
Cell lengths 16.318, 4.180, 6.103 Å; angles 90.00, 111.91, 90.00 degrees
Space group C2/m (No. 12)
Inequivalent atoms, fractional coordinates:
Rb: 0.173 0.000 0.173
Pa: 0.000 0.500 0.500
F: 0.000 0.000 0.305
F: 0.105 0.500 0.833
F: 0.106 0.500 0.380
F: 0.202 0.000 0.703

---

3.
# RbCd2Hg8
Simulated powder XRD pattern, Cu Kα (weighted mean of Kα1 and Kα2). Input: a crystal structure in Alexandria, relaxed with GGA-PBE.
Intensities are scaled so that the largest is 100.

The 10 most intense peaks (2θ = 10–90°), by angle:
| 2θ/deg | I (rel.) |
| --- | --- |
| 17.0 | 50 |
| 28.3 | 39 |
| 33.2 | 100 |
| 34.5 | 14 |
| 38.6 | 26 |
| 40.4 | 34 |
| 44.1 | 20 |
| 52.7 | 14 |
| 54.1 | 15 |
| 68.9 | 25 |

Cell and atoms:
Cell lengths 6.314, 6.314, 20.806 Å; angles 90.00, 90.00, 90.00 degrees
Space group I4/mmm (No. 139)
Inequivalent atoms, fractional coordinates:
Rb: 0.000 0.000 0.000
Cd: 0.000 0.500 0.250
Hg: 0.247 0.247 0.358

---

4.
# Tl7HgPb4
Simulated powder XRD pattern, Cu Kα (weighted mean of Kα1 and Kα2). Input: a crystal structure in Alexandria, relaxed with GGA-PBE.
Intensities are scaled so that the largest is 100.

The 10 most intense peaks (2θ = 10–90°), by angle:
| 2θ/deg | I (rel.) |
| --- | --- |
| 30.8 | 100 |
| 32.2 | 29 |
| 36.1 | 65 |
| 51.1 | 25 |
| 52.9 | 21 |
| 60.8 | 15 |
| 61.7 | 28 |
| 63.3 | 12 |
| 64.2 | 13 |
| 83.4 | 13 |

Cell and atoms:
Cell lengths 3.5757, 3.5757, 33.3647 Å; angles 90.00, 90.00, 120.00 degrees
Space group P-3m1 (No. 164)
Inequivalent atoms, fractional coordinates:
Tl: 0.0000 0.0000 0.0000
Tl: 0.0000 0.0000 0.2522
Tl: 0.3333 0.6667 0.1682
Tl: 0.3333 0.6667 0.4213
Hg: 0.0000 0.0000 0.5000
Pb: 0.3333 0.6667 0.6640
Pb: 0.3333 0.6667 0.9156

---

5.
# Ac2Y6Ho
Simulated powder XRD pattern, Cu Kα (weighted mean of Kα1 and Kα2). Input: a crystal structure in Alexandria, relaxed with GGA-PBE.
Intensities are scaled so that the largest is 100.

The 10 most intense peaks (2θ = 10–90°), by angle:
| 2θ/deg | I (rel.) |
| --- | --- |
| 26.0 | 37 |
| 26.6 | 45 |
| 30.4 | 50 |
| 30.5 | 96 |
| 30.8 | 93 |
| 31.0 | 100 |
| 32.1 | 87 |
| 32.2 | 35 |
| 36.6 | 74 |
| 52.5 | 39 |

Cell and atoms:
Cell lengths 8.821, 3.643, 10.146 Å; angles 90.00, 101.54, 90.00 degrees
Space group P2/m (No. 10)
Inequivalent atoms, fractional coordinates:
Ac: 0.193 0.000 0.460
Y: 0.126 0.500 0.785
Y: 0.183 0.000 0.099
Y: 0.484 0.500 0.324
Ho: 0.500 0.500 0.000

---

6.
# CsAg2F6
Simulated powder XRD pattern, Cu Kα (weighted mean of Kα1 and Kα2). Input: a crystal structure in Alexandria, relaxed with GGA-PBE.
Intensities are scaled so that the largest is 100.

The 10 most intense peaks (2θ = 10–90°), by angle:
| 2θ/deg | I (rel.) |
| --- | --- |
| 14.7 | 16 |
| 22.5 | 100 |
| 29.5 | 36 |
| 29.7 | 10 |
| 37.5 | 21 |
| 42.4 | 46 |
| 48.4 | 24 |
| 48.7 | 10 |
| 52.4 | 14 |
| 66.2 | 10 |

Cell and atoms:
Cell lengths 6.0470, 6.0470, 6.0095 Å; angles 90.00, 90.00, 120.00 degrees
Space group P-31m (No. 162)
Inequivalent atoms, fractional coordinates:
Cs: 0.0000 0.0000 0.0000
Ag: 0.3333 0.6667 0.5000
F: 0.0000 0.3840 0.6812

---

7.
# Sm6Er2Tm3
Simulated powder XRD pattern, Cu Kα (weighted mean of Kα1 and Kα2). Input: a crystal structure in Alexandria, relaxed with GGA-PBE.
Intensities are scaled so that the largest is 100.

The 10 most intense peaks (2θ = 10–90°), by angle:
| 2θ/deg | I (rel.) |
| --- | --- |
| 26.6 | 24 |
| 28.7 | 100 |
| 32.2 | 22 |
| 34.4 | 74 |
| 38.0 | 66 |
| 50.7 | 25 |
| 54.9 | 22 |
| 62.2 | 24 |
| 63.1 | 22 |
| 66.4 | 22 |

Cell and atoms:
Cell lengths 4.734, 4.734, 33.332 Å; angles 90.00, 90.00, 90.00 degrees
Space group I4/mmm (No. 139)
Inequivalent atoms, fractional coordinates:
Sm: 0.000 0.000 0.199
Sm: 0.000 0.500 0.120
Er: 0.000 0.000 0.045
Tm: 0.000 0.000 0.302
Tm: 0.000 0.000 0.500

---

8.
# TaGaW
Simulated powder XRD pattern, Cu Kα (weighted mean of Kα1 and Kα2). Input: a crystal structure in Alexandria, relaxed with GGA-PBE.
Intensities are scaled so that the largest is 100.

The 10 most intense peaks (2θ = 10–90°), by angle:
| 2θ/deg | I (rel.) |
| --- | --- |
| 10.5 | 24 |
| 37.5 | 100 |
| 38.1 | 58 |
| 40.9 | 69 |
| 46.6 | 19 |
| 51.3 | 20 |
| 55.6 | 15 |
| 65.6 | 24 |
| 71.2 | 27 |
| 73.0 | 18 |

Cell and atoms:
Cell lengths 3.308, 16.861, 3.563 Å; angles 90.00, 90.00, 90.00 degrees
Space group Cmcm (No. 63)
Inequivalent atoms, fractional coordinates:
Ta: 0.000 0.114 0.250
Ga: 0.000 0.452 0.250
W: 0.000 0.294 0.250